This entry pairs a crystal structure of CdBiN2 with its theoretical XRD peak list. Radiation: Cu Kα (λ = 1.5418 Å). Structure: a PBE-relaxed structure.
Kinematic intensities with the Lorentz-polarization factor, no thermal factor.

The 10 most intense peaks (10 to 80 degrees two-theta), in order of rising 2θ:
| two_theta | I (rel.) | (hkl) |
| --- | --- | --- |
| 19.9 | 100 | 0 0 2 |
| 32.3 | 36 | 1 -1 0 |
| 32.6 | 61 | 1 1 0 |
| 32.9 | 25 | 1 -1 1 |
| 35.3 | 22 | 0 2 -1 |
| 35.6 | 24 | 1 1 -2 |
| 36.3 | 25 | 0 2 0 |
| 36.4 | 22 | 1 -1 2 |
| 37.2 | 21 | 0 2 -2 |
| 39.9 | 25 | -1 1 2 |

Structure:
```
CdBiN2
1.0
3.324 0.000 0.000
-0.014 5.089 0.000
-0.340 -2.125 8.934
Cd Bi N
1 1 2
direct
0.000 0.000 0.000
0.507 0.530 0.072
0.934 0.036 0.510
0.947 0.940 0.607
```